Entry 1:
Structure and simulated powder XRD pattern of Cd6Ag5 (a DFT-relaxed cell (GGA-PBE, Alexandria); copper Kα).
Kinematic intensities with the Lorentz-polarization factor, no thermal factor.

Peak list (10 most intense, 5° ≤ 2θ ≤ 70°, by angle)
| 2θ/deg | intensity | hkl |
| --- | --- | --- |
| 36.26 | 36 | 2 4 -1 |
| 36.38 | 20 | 3 1 0 |
| 37.30 | 100 | 1 3 1 |
| 37.37 | 97 | 3 3 -1 |
| 38.93 | 53 | 2 0 -2 |
| 42.60 | 28 | 0 6 0 |
| 48.20 | 19 | 4 0 0 |
| 59.07 | 21 | 2 6 -2 |
| 69.39 | 16 | 1 3 -3 |
| 69.52 | 14 | 5 3 -3 |

Crystal structure
Lattice parameters (Å, degrees): 8.8457 12.7330 4.6268 90.00 121.38 90.00
Space group C2/m (No. 12)
One atom of each set of equivalent atoms:
Cd 0.2074 0.0000 0.2078
Cd 0.2167 0.1533 0.7166
Ag 0.0000 0.1948 0.0000
Ag 0.0000 0.3489 0.5000
Ag 0.0000 0.5000 0.0000

Entry 2:
Structure and simulated powder XRD pattern of CdAg2 (a DFT-relaxed cell (GGA-PBE, Alexandria); copper Kα).
Kinematic intensities with the Lorentz-polarization factor, no thermal factor.

Peak list (5 most intense, 5° ≤ 2θ ≤ 70°, by angle)
| 2θ/deg | intensity | hkl |
| --- | --- | --- |
| 36.88 | 100 | 1 1 6 |
| 41.60 | 18 | 0 0 12 |
| 43.45 | 31 | 2 0 0 |
| 61.73 | 21 | 2 0 12 |
| 63.14 | 10 | 2 2 0 |

Crystal structure
Lattice parameters (Å, degrees): 4.1651 4.1651 26.0487 90.00 90.00 90.00
Space group I4_1/amd (No. 141, origin choice 2)
One atom of each set of equivalent atoms:
Cd 0.0000 0.2500 0.2939
Ag 0.0000 0.2500 0.1249
Ag 0.0000 0.2500 0.7922

Entry 3:
Structure and simulated powder XRD pattern of Cd2Ag3 (a DFT-relaxed cell (GGA-PBE, Alexandria); copper Kα).
Kinematic intensities with the Lorentz-polarization factor, no thermal factor.

Peak list (7 most intense, 5° ≤ 2θ ≤ 70°, by angle)
| 2θ/deg | intensity | hkl |
| --- | --- | --- |
| 36.62 | 100 | 1 1 0 |
| 36.82 | 98 | 0 1 5 |
| 42.38 | 65 | 1 0 5 |
| 43.21 | 31 | 0 2 0 |
| 61.20 | 10 | 2 0 0 |
| 61.76 | 10 | 0 0 10 |
| 62.13 | 40 | 1 2 5 |

Crystal structure
Lattice parameters (Å, degrees): 3.0287 4.1871 15.0202 90.00 90.00 90.00
Space group Immm (No. 71)
One atom of each set of equivalent atoms:
Cd 0.0000 0.0000 0.1027
Ag 0.0000 0.0000 0.2999
Ag 0.0000 0.0000 0.5000

Entry 4:
Structure and simulated powder XRD pattern of Cd5Ag (a DFT-relaxed cell (GGA-PBE, Alexandria); copper Kα).
Kinematic intensities with the Lorentz-polarization factor, no thermal factor.

Peak list (10 most intense, 5° ≤ 2θ ≤ 70°, by angle)
| 2θ/deg | intensity | hkl |
| --- | --- | --- |
| 33.73 | 23 | 0 1 3 |
| 33.93 | 45 | 2 0 0 |
| 34.43 | 11 | 0 0 6 |
| 37.90 | 100 | 1 1 3 |
| 38.53 | 47 | 1 0 6 |
| 48.59 | 16 | 2 1 3 |
| 59.88 | 8 | 0 2 0 |
| 61.23 | 15 | 0 1 9 |
| 63.35 | 21 | 3 1 3 |
| 63.78 | 10 | 3 0 6 |

Crystal structure
Lattice parameters (Å, degrees): 5.2845 3.0892 15.6288 90.00 90.00 90.00
Space group Amm2 (No. 38)
One atom of each set of equivalent atoms:
Cd 0.0000 0.0000 0.0000
Cd 0.0000 0.0000 0.3261
Cd 0.5000 0.0000 0.1096
Cd 0.5000 0.0000 0.4408
Cd 0.5000 0.0000 0.7730
Ag 0.0000 0.0000 0.6631

Copy entry 3 word for word.
Structure and simulated powder XRD pattern of Cd2Ag3 (a DFT-relaxed cell (GGA-PBE, Alexandria); copper Kα).
Kinematic intensities with the Lorentz-polarization factor, no thermal factor.

Peak list (7 most intense, 5° ≤ 2θ ≤ 70°, by angle)
| 2θ/deg | intensity | hkl |
| --- | --- | --- |
| 36.62 | 100 | 1 1 0 |
| 36.82 | 98 | 0 1 5 |
| 42.38 | 65 | 1 0 5 |
| 43.21 | 31 | 0 2 0 |
| 61.20 | 10 | 2 0 0 |
| 61.76 | 10 | 0 0 10 |
| 62.13 | 40 | 1 2 5 |

Crystal structure
Lattice parameters (Å, degrees): 3.0287 4.1871 15.0202 90.00 90.00 90.00
Space group Immm (No. 71)
One atom of each set of equivalent atoms:
Cd 0.0000 0.0000 0.1027
Ag 0.0000 0.0000 0.2999
Ag 0.0000 0.0000 0.5000

Q: What is the formula in the second record?
A: CdAg2

Q: Number 1 is which compound?
A: Cd6Ag5